Structure and simulated powder X-ray diffraction pattern of CeScSi (a crystal structure in the Materials Project, relaxed with GGA-PBE; Cu Ka).

Cell and atoms:
a = 4.240 Å, b = 4.240 Å, c = 15.879 Å
α = 90.00°, β = 90.00°, γ = 90.00°
Space group I4/mmm (No. 139)
Symmetry-distinct sites (fractional):
Ce  0.000  0.000  0.179 (multiplicity 4)
Sc  0.000  0.500  0.000 (multiplicity 4)
Si  0.000  0.000  0.377 (multiplicity 4)

Principal peaks in the range 15 to 90 degrees two-theta, sorted by position:
Position (°2θ)	I_rel	index
26.94	100	1 0 3
31.91	84	1 1 2
35.31	64	1 0 5
42.65	48	2 0 0
55.53	47	2 0 6
56.51	48	2 1 5